# 1
Starting from a structure optimized by DFT (PBE), the XRD peak list of Rb2S5 was calculated for Cu Kα (λ = 1.5418 Å).
Peak positions follow from Bragg's law for the DFT cell and can differ from measured ones.

Cell and atoms:
```
Rb2S5
1.0
6.7917 0.0000 0.0000
0.0000 6.8245 0.0000
0.0000 0.0000 19.4077
Rb S
8 20
Direct
0.0925 0.1975 0.1799 Rb
0.1316 0.4274 0.5085 Rb
0.3684 0.5726 0.0085 Rb
0.4075 0.8025 0.6799 Rb
0.5925 0.3025 0.8201 Rb
0.6316 0.0726 0.4915 Rb
0.8684 0.9274 0.9915 Rb
0.9075 0.6975 0.3201 Rb
0.0415 0.6937 0.1481 S
0.0631 0.6947 0.8159 S
0.0710 0.4199 0.8635 S
0.0856 0.9200 0.5460 S
0.2474 0.1134 0.3674 S
0.2526 0.8866 0.8674 S
0.4144 0.0800 0.0460 S
0.4290 0.5801 0.3635 S
0.4369 0.3053 0.3159 S
0.4585 0.3063 0.6481 S
0.5415 0.8063 0.8519 S
0.5631 0.8053 0.1841 S
0.5710 0.0801 0.1365 S
0.5856 0.5800 0.4540 S
0.7474 0.3866 0.6326 S
0.7526 0.6134 0.1326 S
0.9144 0.4200 0.9540 S
0.9290 0.9199 0.6365 S
0.9369 0.1947 0.6841 S
0.9585 0.1937 0.3519 S
```

Top 6 peaks for 2θ = 10–90°, by angle:
Position (°2θ)  I_rel
19.0  50
26.1  49
27.6  51
29.6  52
29.7  100
30.8  48

***

# 2
Starting from a structure optimized by DFT (PBE), the XRD peak list of RbNaFe2I8 was calculated for Cu Kα (λ = 1.5418 Å).
Peak positions follow from Bragg's law for the DFT cell and can differ from measured ones.

Cell and atoms:
```
RbNaFe2I8
1.0
7.4860 0.0000 0.0000
-3.7430 6.4830 0.0000
0.0000 0.0000 11.0048
Rb Na Fe I
1 1 2 8
Direct
0.0000 0.0000 0.0000 Rb
0.0000 0.0000 0.5000 Na
0.3333 0.6667 0.7583 Fe
0.6667 0.3333 0.2417 Fe
0.0080 0.3410 0.6863 I
0.3333 0.6667 0.9902 I
0.3330 0.9920 0.6863 I
0.3410 0.3330 0.3137 I
0.6590 0.6670 0.6863 I
0.6670 0.0080 0.3137 I
0.6667 0.3333 0.0098 I
0.9920 0.6590 0.3137 I
```

Top 6 peaks for 2θ = 10–90°, by angle:
Position (°2θ)  I_rel
24.3  31
25.1  100
28.8  57
40.7  31
41.8  33
48.9  27

***

# 3
Starting from a structure optimized by DFT (PBE), the XRD peak list of Nb4B20Mo11 was calculated for Cu Kα (λ = 1.5418 Å).
Peak positions follow from Bragg's law for the DFT cell and can differ from measured ones.

Cell and atoms:
```
Nb4B20Mo11
1.0
-1.5516 1.6037 34.9653
1.5516 -1.6037 34.9653
1.5516 1.6037 -34.9653
Nb B Mo
4 20 11
Direct
0.0997 0.0997 0.0000 Nb
0.3001 0.3001 0.0000 Nb
0.6999 0.6999 0.0000 Nb
0.9003 0.9003 0.0000 Nb
0.0128 0.0128 0.0000 B
0.0269 0.5269 0.5000 B
0.1728 0.6728 0.5000 B
0.1866 0.1866 0.0000 B
0.2131 0.2131 0.0000 B
0.2269 0.7269 0.5000 B
0.3733 0.8733 0.5000 B
0.3871 0.3871 0.0000 B
0.4136 0.4136 0.0000 B
0.4274 0.9274 0.5000 B
0.5726 0.0726 0.5000 B
0.5864 0.5864 0.0000 B
0.6129 0.6129 0.0000 B
0.6267 0.1267 0.5000 B
0.7731 0.2731 0.5000 B
0.7869 0.7869 0.0000 B
0.8134 0.8134 0.0000 B
0.8272 0.3272 0.5000 B
0.9731 0.4731 0.5000 B
0.9872 0.9872 0.0000 B
0.0626 0.5626 0.5000 Mo
0.1368 0.6368 0.5000 Mo
0.2629 0.7629 0.5000 Mo
0.3373 0.8373 0.5000 Mo
0.4636 0.9636 0.5000 Mo
0.5000 0.5000 0.0000 Mo
0.5364 0.0364 0.5000 Mo
0.6627 0.1627 0.5000 Mo
0.7371 0.2371 0.5000 Mo
0.8632 0.3632 0.5000 Mo
0.9374 0.4374 0.5000 Mo
```

Top 6 peaks for 2θ = 10–90°, by angle:
Position (°2θ)  I_rel
28.6  53
34.7  100
38.6  31
42.5  96
42.9  64
68.2  27

***

# 4
Starting from a structure optimized by DFT (PBE), the XRD peak list of Sc2In8Cu was calculated for Cu Kα (λ = 1.5418 Å).
Peak positions follow from Bragg's law for the DFT cell and can differ from measured ones.

Cell and atoms:
```
Sc2In8Cu
1.0
4.5934 0.0000 0.0000
0.0000 4.5934 0.0000
0.0000 0.0000 12.0149
Sc In Cu
2 8 1
Direct
0.0000 0.0000 0.1880 Sc
0.0000 0.0000 0.8120 Sc
0.0000 0.5000 0.0000 In
0.0000 0.5000 0.3713 In
0.0000 0.5000 0.6287 In
0.5000 0.0000 0.0000 In
0.5000 0.0000 0.3713 In
0.5000 0.0000 0.6287 In
0.5000 0.5000 0.1891 In
0.5000 0.5000 0.8109 In
0.0000 0.0000 0.5000 Cu
```

Top 6 peaks for 2θ = 10–90°, by angle:
Position (°2θ)  I_rel
31.3  22
35.6  100
39.2  50
55.3  17
56.7  16
68.7  27